# CsIn2AgTe4
Computed X-ray powder pattern, CuKα. Input: the GGA-PBE geometry in Alexandria.

Crystal structure
Cell lengths 6.691, 6.691, 15.164 Å; angles 90.00, 90.00, 90.00 degrees
Space group I-42m (No. 121)
Symmetry-distinct sites (fractional):
1 Cs 0.000 0.000 0.000 [2 per cell]
2 In 0.000 0.500 0.250 [4 per cell]
3 Ag 0.000 0.000 0.500 [2 per cell]
4 Te 0.206 0.206 0.645 [8 per cell]

Peak list (10 most intense, 2θ from 10° to 90°, sorted by position)
2θ 22.15, intensity 100.0, hkl 1 1 2; 2θ 30.45, intensity 9.9, hkl 2 1 1; 2θ 35.80, intensity 50.0, hkl 2 0 4; 2θ 38.04, intensity 20.5, hkl 2 2 0; 2θ 40.46, intensity 18.0, hkl 1 1 6; 2θ 44.45, intensity 29.8, hkl 3 1 2; 2θ 56.74, intensity 8.0, hkl 3 1 6; 2θ 62.82, intensity 6.1, hkl 2 2 8; 2θ 67.28, intensity 9.0, hkl 4 2 4; 2θ 73.19, intensity 5.7, hkl 5 0 3